Theoretical powder diffractogram
Compound: YNiAs2O8
Radiation: Cu Ka
Structure: a DFT-relaxed cell (GGA+U, Alexandria)
Lines closer than 0.1° are merged.

Most intense lines, 2θ = 15–90°, by angle:
- 2θ = 25.4°, I = 100
- 2θ = 33.6°, I = 67
- 2θ = 36.3°, I = 17
- 2θ = 50.3°, I = 59
- 2θ = 52.3°, I = 16
- 2θ = 59.0°, I = 12
- 2θ = 63.5°, I = 18
- 2θ = 64.5°, I = 12
- 2θ = 75.4°, I = 12
- 2θ = 87.6°, I = 11

Crystal structure
Cell: 5.880 5.880 5.880 Å, 106.92 106.92 114.71°
Fractional coordinates of all 12 atoms:
Y 0.000 0.000 0.000
Ni 0.250 0.750 0.500
As 0.500 0.500 0.000
As 0.750 0.250 0.500
O 0.322 0.134 0.812
O 0.322 0.510 0.188
O 0.389 0.073 0.317
O 0.490 0.678 0.812
O 0.756 0.073 0.683
O 0.866 0.678 0.188
O 0.927 0.244 0.317
O 0.927 0.611 0.683